[1]
Starting from DFT lattice parameters and positions (PBE), the X-ray diffraction stick pattern of Ba9Pd3I was simulated for copper Kα.

Crystal structure
a b c (Å): 8.080 12.185 13.362
angles (deg): 90.00 96.03 90.00
Space group P2_1/m (No. 11)
Inequivalent atoms, fractional coordinates:
Ba 0.084 0.250 0.204 x2
Ba 0.154 0.568 0.379 x4
Ba 0.195 0.250 0.851 x2
Ba 0.240 0.560 0.045 x4
Ba 0.360 0.250 0.528 x2
Ba 0.360 0.565 0.705 x4
Pd 0.056 0.501 0.828 x4
Pd 0.500 0.000 0.500 x2
I 0.480 0.250 0.084 x2

Peak list (10 most intense, 15 to 90 degrees two-theta, most intense first)
2θ (°)  I_rel  h k l
24.56  100  1 3 0
37.91  59  3 2 1
25.75  48  2 1 -2
25.05  41  1 1 3
24.89  40  2 1 1
29.32  30  0 4 0
24.66  29  2 0 -2
44.84  29  2 3 -5
34.41  24  1 0 -5
44.43  23  1 5 3


[2]
Starting from DFT lattice parameters and positions (PBE), the X-ray diffraction stick pattern of Ba4PdI3 was simulated for copper Kα.

Crystal structure
a b c (Å): 9.122 10.112 8.249
angles (deg): 90.00 109.16 90.00
Space group P2/c (No. 13)
Inequivalent atoms, fractional coordinates:
Ba 0.204 0.107 0.497 x4
Ba 0.225 0.340 0.973 x4
Pd 0.000 0.123 0.750 x2
I 0.000 0.392 0.250 x2
I 0.500 0.123 0.250 x2
I 0.500 0.388 0.750 x2

Peak list (10 most intense, 15 to 90 degrees two-theta, most intense first)
2θ (°)  I_rel  h k l
25.00  100  1 2 1
25.29  51  2 0 -2
34.44  37  3 2 -1
37.23  35  1 2 -3
35.79  18  2 0 2
35.51  17  0 4 0
44.10  17  2 4 -2
51.31  10  2 4 2
46.63  9  0 0 4
41.94  9  4 0 0


[3]
Starting from DFT lattice parameters and positions (PBE), the X-ray diffraction stick pattern of Ba8Pd4I was simulated for copper Kα.

Crystal structure
a b c (Å): 22.686 4.696 16.102
angles (deg): 90.00 134.31 90.00
Space group Cm (No. 8)
Inequivalent atoms, fractional coordinates:
Ba 0.000 0.000 0.000 x2
Ba 0.003 0.000 0.273 x2
Ba 0.040 0.000 0.706 x2
Ba 0.163 0.500 0.619 x2
Ba 0.199 0.500 0.053 x2
Ba 0.202 0.500 0.326 x2
Ba 0.307 0.000 0.953 x2
Ba 0.395 0.000 0.378 x2
Pd 0.005 0.500 0.139 x2
Pd 0.028 0.000 0.496 x2
Pd 0.175 0.500 0.830 x2
Pd 0.196 0.000 0.183 x2
I 0.364 0.000 0.576 x2

Peak list (10 most intense, 15 to 90 degrees two-theta, most intense first)
2θ (°)  I_rel  h k l
25.15  100  3 1 0
40.31  31  1 1 4
29.68  30  3 1 -4
40.82  22  9 1 -5
38.34  22  0 2 0
28.16  17  4 0 -5
33.11  15  6 0 0
33.40  13  6 0 -6
33.77  12  5 1 -5
35.71  11  7 1 -5


[4]
Starting from DFT lattice parameters and positions (PBE), the X-ray diffraction stick pattern of Ba3Pd3I was simulated for copper Kα.

Crystal structure
a b c (Å): 11.2502 11.2502 4.6315
angles (deg): 90.00 90.00 120.00
Space group P6_3/m (No. 176)
Inequivalent atoms, fractional coordinates:
Ba 0.0890 0.3702 0.2500 x6
Pd 0.0316 0.1597 0.7500 x6
I 0.3333 0.6667 0.7500 x2

Peak list (10 most intense, 15 to 90 degrees two-theta, most intense first)
2θ (°)  I_rel  h k l
38.57  100  3 1 1
31.03  81  2 1 1
26.56  74  2 0 1
24.17  66  2 1 0
24.90  56  1 1 1
45.04  53  3 2 1
33.15  51  3 1 0
38.89  48  0 0 2
37.41  48  2 2 1
73.14  30  2 5 2


[5]
Starting from DFT lattice parameters and positions (PBE), the X-ray diffraction stick pattern of Ba8PdPt3I4 was simulated for copper Kα.

Crystal structure
a b c (Å): 16.061 9.273 10.237
angles (deg): 90.00 121.59 90.00
Space group C2/m (No. 12)
Inequivalent atoms, fractional coordinates:
Ba 0.017 0.248 0.299 x8
Ba 0.234 0.000 0.700 x4
Ba 0.235 0.500 0.701 x4
Pd 0.000 0.500 0.500 x2
Pt 0.000 0.000 0.500 x2
Pt 0.250 0.250 0.500 x4
I 0.000 0.000 0.000 x2
I 0.000 0.500 0.000 x2
I 0.250 0.250 0.000 x4

Peak list (10 most intense, 15 to 90 degrees two-theta, most intense first)
2θ (°)  I_rel  h k l
26.04  100  4 0 0
38.85  37  0 4 0
35.40  35  2 2 2
47.36  20  4 4 0
62.86  17  10 2 -2
58.08  11  6 2 2
53.56  11  8 0 0
68.11  10  8 4 0
32.74  9  2 2 -3
44.26  8  4 0 -5


[6]
Starting from DFT lattice parameters and positions (PBE), the X-ray diffraction stick pattern of Ba6PdS2I3 was simulated for copper Kα.

Crystal structure
a b c (Å): 8.166 14.138 8.744
angles (deg): 90.00 108.24 90.00
Space group C2/m (No. 12)
Inequivalent atoms, fractional coordinates:
Ba 0.233 0.000 0.203 x4
Ba 0.235 0.333 0.203 x8
Pd 0.000 0.500 0.000 x2
S 0.000 0.167 0.000 x4
I 0.000 0.000 0.500 x2
I 0.000 0.332 0.500 x4

Peak list (10 most intense, 15 to 90 degrees two-theta, most intense first)
2θ (°)  I_rel  h k l
26.10  100  2 0 -2
38.19  40  0 6 0
36.28  31  1 3 -3
46.84  20  2 6 -2
61.96  17  5 3 -3
28.26  16  2 0 1
50.88  13  3 3 2
53.69  10  4 0 -4
59.32  9  3 3 -5
52.77  8  1 3 4


[7]
Starting from DFT lattice parameters and positions (PBE), the X-ray diffraction stick pattern of BaPtI6 was simulated for copper Kα.

Crystal structure
a b c (Å): 12.170 9.464 12.060
angles (deg): 90.00 90.83 90.00
Space group C2/c (No. 15)
Inequivalent atoms, fractional coordinates:
Ba 0.000 0.008 0.250 x4
Pt 0.250 0.250 0.500 x4
I 0.064 0.326 0.387 x8
I 0.148 0.306 0.693 x8
I 0.178 0.022 0.005 x8

Peak list (10 most intense, 15 to 90 degrees two-theta, most intense first)
2θ (°)  I_rel  h k l
29.23  100  1 3 0
28.30  78  3 1 2
24.90  69  2 2 -1
32.97  58  2 0 -4
38.38  56  4 2 2
30.20  49  1 3 1
38.19  47  2 2 -4
20.59  47  2 0 -2
20.89  41  2 0 2
27.97  41  3 1 -2


[8]
Starting from DFT lattice parameters and positions (PBE), the X-ray diffraction stick pattern of BaPtI4 was simulated for copper Kα.

Crystal structure
a b c (Å): 8.030 8.030 8.838
angles (deg): 90.00 90.00 90.00
Space group I-4 (No. 82)
Inequivalent atoms, fractional coordinates:
Ba 0.000 0.000 0.000 x2
Pt 0.000 0.500 0.750 x2
I 0.231 0.267 0.749 x8

Peak list (10 most intense, 15 to 90 degrees two-theta, most intense first)
2θ (°)  I_rel  h k l
31.51  100  2 2 0
20.09  76  0 0 2
30.07  66  2 0 2
25.54  58  1 1 2
37.66  55  2 2 2
52.48  47  2 2 4
41.83  41  3 2 1
45.17  34  4 0 0
26.80  34  2 1 1
40.99  28  3 1 2


[9]
Starting from DFT lattice parameters and positions (PBE), the X-ray diffraction stick pattern of RbBa2I4 was simulated for copper Kα.

Crystal structure
a b c (Å): 9.245 9.277 10.291
angles (deg): 109.32 109.28 105.38
Space group P-1 (No. 2)
Inequivalent atoms, fractional coordinates:
Rb 0.126 0.376 0.251 x2
Ba 0.000 0.000 0.500 x1
Ba 0.500 0.000 0.000 x1
Ba 0.500 0.000 0.500 x1
Ba 0.500 0.500 0.000 x1
I 0.166 0.134 0.907 x2
I 0.227 0.759 0.594 x2
I 0.259 0.727 0.093 x2
I 0.366 0.335 0.593 x2

Peak list (10 most intense, 15 to 90 degrees two-theta, most intense first)
2θ (°)  I_rel  h k l
25.10  100  2 1 -1
27.72  53  0 1 2
24.16  44  2 -2 0
31.95  30  2 -2 2
20.59  22  0 0 2
40.24  22  1 3 0
31.84  21  2 2 -2
51.50  20  4 2 -2
32.71  18  -1 2 2
57.24  16  0 2 4


[10]
Starting from DFT lattice parameters and positions (PBE), the X-ray diffraction stick pattern of RbBaI was simulated for copper Kα.

Crystal structure
a b c (Å): 8.192 4.784 17.859
angles (deg): 90.00 94.00 90.00
Space group C2/m (No. 12)
Inequivalent atoms, fractional coordinates:
Rb 0.226 0.000 0.382 x4
Ba 0.184 0.000 0.100 x4
I 0.040 0.500 0.238 x4

Peak list (10 most intense, 15 to 90 degrees two-theta, most intense first)
2θ (°)  I_rel  h k l
30.05  100  0 0 6
25.85  94  1 1 -3
38.02  81  3 1 0
21.95  61  2 0 -1
26.73  59  1 1 3
23.43  58  1 1 -2
28.60  57  2 0 -4
24.60  47  2 0 2
37.61  38  0 2 0
47.91  29  2 2 -4


[11]
Starting from DFT lattice parameters and positions (PBE), the X-ray diffraction stick pattern of Rb5BaI7 was simulated for copper Kα.

Crystal structure
a b c (Å): 17.703 5.002 30.553
angles (deg): 90.00 90.07 90.00
Space group Cm (No. 8)
Inequivalent atoms, fractional coordinates:
Rb 0.000 0.000 0.000 x2
Rb 0.002 0.000 0.201 x2
Rb 0.048 0.500 0.850 x2
Rb 0.051 0.500 0.350 x2
Rb 0.097 0.000 0.701 x2
Rb 0.100 0.000 0.500 x2
Rb 0.269 0.000 0.923 x2
Rb 0.271 0.000 0.278 x2
Rb 0.329 0.500 0.778 x2
Rb 0.331 0.500 0.423 x2
Ba 0.255 0.500 0.101 x2
Ba 0.345 0.000 0.602 x2
I 0.118 0.000 0.100 x2
I 0.136 0.500 0.964 x2
I 0.139 0.500 0.235 x2
I 0.186 0.000 0.811 x2
I 0.188 0.000 0.390 x2
I 0.251 0.500 0.668 x2
I 0.254 0.500 0.534 x2
I 0.346 0.000 0.034 x2
I 0.348 0.000 0.167 x2
I 0.412 0.500 0.890 x2
I 0.414 0.500 0.311 x2
I 0.460 0.000 0.735 x2
I 0.464 0.000 0.464 x2
I 0.482 0.500 0.600 x2

Peak list (10 most intense, 15 to 90 degrees two-theta, most intense first)
2θ (°)  I_rel  h k l
24.04  100  3 1 2
24.92  97  3 1 -3
22.72  92  2 0 7
32.27  47  1 1 9
35.91  46  0 2 0
34.78  39  1 1 -10
33.73  37  6 0 -5
33.14  37  5 1 4
25.40  35  2 0 8
34.33  34  5 1 5


[12]
Starting from DFT lattice parameters and positions (PBE), the X-ray diffraction stick pattern of RbBa2YI8 was simulated for copper Kα.

Crystal structure
a b c (Å): 7.619 7.898 10.536
angles (deg): 90.01 90.04 90.28
Space group P-1 (No. 2)
Inequivalent atoms, fractional coordinates:
Rb 0.000 0.000 0.000 x1
Ba 0.500 0.500 0.256 x2
Y 0.000 0.000 0.500 x1
I 0.231 0.854 0.293 x2
I 0.232 0.326 0.500 x2
I 0.232 0.855 0.707 x2
I 0.247 0.390 0.000 x2

Peak list (10 most intense, 15 to 90 degrees two-theta, most intense first)
2θ (°)  I_rel  h k l
23.40  100  1 1 -2
31.08  94  2 -1 2
25.35  60  1 -2 0
16.17  59  1 1 0
38.22  46  0 3 2
23.45  42  1 1 2
25.46  32  1 2 0
34.04  31  0 0 4
42.94  31  -1 2 4
20.50  29  1 0 2